# LiAlVO4
Calculated XRD peak list, Cu Kα (λ = 1.5418 Å). Input: a structure optimized by DFT (GGA+U).
Peak positions follow from Bragg's law for the DFT cell and can differ from measured ones.

Cell and atoms:
```
LiAlVO4
1.0
5.477 0.000 0.000
-2.739 4.743 0.000
0.000 0.000 12.215
Li Al V O
3 3 3 12
direct
0.000 0.000 0.000
0.000 0.000 0.333
0.000 0.000 0.667
0.000 0.500 0.667
0.500 0.000 0.000
0.500 0.500 0.333
0.000 0.500 0.167
0.500 0.000 0.500
0.500 0.500 0.833
0.187 0.387 0.258
0.187 0.800 0.076
0.200 0.387 0.742
0.200 0.813 0.591
0.387 0.187 0.409
0.387 0.200 0.924
0.613 0.800 0.924
0.613 0.813 0.409
0.800 0.187 0.591
0.800 0.613 0.742
0.813 0.200 0.076
0.813 0.613 0.258
```

Top 12 peaks for 15° ≤ 2θ ≤ 90°, most intense first:
Position (°2θ)	d/Å	I_rel	hkl
23.8	3.746	100	1 0 2
44.4	2.039	23	1 1 4
59.9	1.545	17	2 0 6
53.2	1.720	13	2 1 2
18.7	4.743	7	1 0 0
37.9	2.372	6	2 0 0
20.1	4.422	6	1 0 1
73.7	1.286	6	3 1 2
68.5	1.369	5	2 2 0
32.7	2.739	5	1 1 0
66.6	1.404	5	3 0 4
70.6	1.334	4	1 1 8